# 1
# Rb2BiBr6F
Theoretical X-ray diffraction stick pattern, copper Kα. Input: a structure optimized by DFT (GGA-PBE).
Neutral-atom scattering factors, no anomalous dispersion.

Structural model:
```
Rb2BiBr6F
1.0
-3.7980 3.7980 5.9428
3.7980 -3.7980 5.9428
3.7980 3.7980 -5.9428
Rb Bi Br F
2 1 6 1
direct
0.2500 0.7500 0.5000
0.7500 0.2500 0.5000
0.0000 0.0000 0.0000
0.2350 0.2350 0.0000
0.2550 0.2550 0.5100
0.2550 0.7450 0.0000
0.7450 0.2550 0.0000
0.7450 0.7450 0.4900
0.7650 0.7650 0.0000
0.5000 0.5000 0.0000
```

Most intense lines, 2θ from 10° to 80°, by intensity:
33.36 deg, rel. 100; 45.53 deg, rel. 81; 27.88 deg, rel. 78; 13.84 deg, rel. 72; 30.07 deg, rel. 65; 57.60 deg, rel. 40; 22.31 deg, rel. 39; 27.30 deg, rel. 37

---

# 2
# Rb2BiBrF6
Theoretical X-ray diffraction stick pattern, copper Kα. Input: a structure optimized by DFT (GGA-PBE).
Neutral-atom scattering factors, no anomalous dispersion.

Structural model:
```
Rb2BiBrF6
1.0
-3.4670 3.4670 5.0334
3.4670 -3.4670 5.0334
3.4670 3.4670 -5.0334
Rb Bi Br F
2 1 1 6
direct
0.2500 0.7500 0.5000
0.7500 0.2500 0.5000
0.0000 0.0000 0.0000
0.5000 0.5000 0.0000
0.2139 0.2139 0.0000
0.2194 0.2194 0.4388
0.2194 0.7806 0.0000
0.7806 0.2194 0.0000
0.7806 0.7806 0.5612
0.7861 0.7861 0.0000
```

Most intense lines, 2θ from 10° to 80°, by intensity:
25.36 deg, rel. 100; 25.70 deg, rel. 48; 45.10 deg, rel. 41; 15.52 deg, rel. 36; 36.66 deg, rel. 34; 52.08 deg, rel. 22; 44.48 deg, rel. 21; 35.68 deg, rel. 18

---

# 3
# NaGa2BiBr6
Theoretical X-ray diffraction stick pattern, copper Kα. Input: a structure optimized by DFT (GGA-PBE).
Neutral-atom scattering factors, no anomalous dispersion.

Structural model:
```
NaGa2BiBr6
1.0
7.3746 0.0000 0.0000
0.0000 8.1028 0.0000
-7.0751 0.0000 10.9581
Na Ga Bi Br
2 4 2 12
direct
0.0000 0.0000 0.0000
0.0000 0.5000 0.5000
0.2126 0.0759 0.7422
0.2126 0.4241 0.2422
0.7874 0.5759 0.7578
0.7874 0.9241 0.2578
0.5000 0.0000 0.5000
0.5000 0.5000 0.0000
0.1136 0.1769 0.4390
0.1136 0.3231 0.9390
0.2633 0.6920 0.4269
0.2633 0.8080 0.9269
0.4018 0.0544 0.2550
0.4018 0.4456 0.7550
0.5982 0.5544 0.2450
0.5982 0.9456 0.7450
0.7367 0.1920 0.0731
0.7367 0.3080 0.5731
0.8864 0.6769 0.0610
0.8864 0.8231 0.5610
```

Most intense lines, 2θ from 10° to 80°, by intensity:
27.58 deg, rel. 100; 13.59 deg, rel. 66; 26.28 deg, rel. 38; 41.38 deg, rel. 37; 29.76 deg, rel. 37; 42.21 deg, rel. 35; 49.05 deg, rel. 34; 32.85 deg, rel. 30

---

# 4
# BiHBr
Theoretical X-ray diffraction stick pattern, copper Kα. Input: a structure optimized by DFT (GGA-PBE).
Neutral-atom scattering factors, no anomalous dispersion.

Structural model:
```
BiHBr
1.0
4.4352 0.0000 0.0000
1.9511 5.3114 0.0000
0.5171 2.2609 7.3463
Bi H Br
2 2 2
direct
0.0468 0.3906 0.2100
0.9532 0.6094 0.7900
0.4832 0.2789 0.1711
0.5168 0.7211 0.8289
0.1886 0.8152 0.2758
0.8114 0.1848 0.7242
```

Most intense lines, 2θ from 10° to 80°, by intensity:
21.36 deg, rel. 100; 24.23 deg, rel. 98; 17.47 deg, rel. 48; 33.28 deg, rel. 47; 33.80 deg, rel. 47; 24.16 deg, rel. 46; 40.89 deg, rel. 33; 32.14 deg, rel. 32

---

# 5
# Bi2H2Br5
Theoretical X-ray diffraction stick pattern, copper Kα. Input: a structure optimized by DFT (GGA-PBE).
Neutral-atom scattering factors, no anomalous dispersion.

Structural model:
```
Bi2H2Br5
1.0
0.0000 4.9453 8.0791
4.1014 0.0000 8.0791
4.1014 4.9453 0.0000
Bi H Br
2 2 5
direct
0.2139 0.7861 0.2139
0.7861 0.2139 0.7861
0.2489 0.2489 0.7511
0.7511 0.7511 0.2489
0.1251 0.1251 0.3749
0.3749 0.3749 0.1251
0.5000 0.5000 0.5000
0.6251 0.6251 0.8749
0.8749 0.8749 0.6251
```

Most intense lines, 2θ from 10° to 80°, by intensity:
10.95 deg, rel. 100; 17.94 deg, rel. 54; 31.07 deg, rel. 52; 36.11 deg, rel. 38; 24.34 deg, rel. 34; 44.19 deg, rel. 21; 29.72 deg, rel. 20; 48.54 deg, rel. 19

---

# 6
# Bi2HBr
Theoretical X-ray diffraction stick pattern, copper Kα. Input: a structure optimized by DFT (GGA-PBE).
Neutral-atom scattering factors, no anomalous dispersion.

Structural model:
```
Bi2HBr
1.0
-3.2149 3.2149 5.2776
3.2149 -3.2149 5.2776
3.2149 3.2149 -5.2776
Bi H Br
4 2 2
direct
0.3750 0.2434 0.3684
0.7566 0.1250 0.1316
0.8750 0.0066 0.6316
0.9934 0.6250 0.8684
0.0000 0.0000 0.0000
0.7500 0.2500 0.5000
0.2500 0.7500 0.5000
0.5000 0.5000 0.0000
```

Most intense lines, 2θ from 10° to 80°, by intensity:
32.27 deg, rel. 100; 25.86 deg, rel. 86; 28.93 deg, rel. 34; 40.52 deg, rel. 33; 32.61 deg, rel. 28; 16.14 deg, rel. 26; 44.56 deg, rel. 22; 57.19 deg, rel. 22